(1)
For Ba2P2O7, a crystal structure in the Materials Project, relaxed with GGA-PBE gives the simulated powder X-ray diffraction pattern in this record (a wavelength of 1.5418 Å).
Neutral-atom scattering factors, no anomalous dispersion.

The 10 most intense peaks (2θ from 15° to 90°), most intense first:
2theta	I/Imax	(hkl)
24.6	100	0 1 3
24.5	83	2 1 0
41.8	70	2 2 3
31.4	55	0 2 0
26.9	38	2 0 3
46.2	34	2 1 6
46.0	25	4 1 3
52.0	23	0 3 3
38.5	21	0 0 6
29.1	19	3 0 1

Atomic structure:
```
data_Ba2P2O7
_chemical_formula_sum 'Ba8 P8 O28'
_cell_length_a 9.423
_cell_length_b 5.696
_cell_length_c 14.028
_cell_angle_alpha 90.00
_cell_angle_beta 90.00
_cell_angle_gamma 90.00
_space_group_name_H-M_alt 'P n m a'
_space_group_IT_number 62
_space_group_name_Hall '-P 2ac 2n'
loop_
_atom_site_label
_atom_site_fract_x
_atom_site_fract_y
_atom_site_fract_z
_atom_site_occupancy
Ba1 0.140 0.250 0.083 1
Ba2 0.159 0.250 0.755 1
P1 0.047 0.250 0.315 1
P2 0.218 0.750 0.957 1
O1 0.096 0.027 0.262 1
O2 0.113 0.750 0.667 1
O3 0.119 0.250 0.421 1
O4 0.144 0.527 0.920 1
O5 0.228 0.750 0.067 1
```



(2)
For Ba2P2O7, a crystal structure in the Materials Project, relaxed with GGA-PBE gives the simulated powder X-ray diffraction pattern in this record (a wavelength of 1.5418 Å).
Neutral-atom scattering factors, no anomalous dispersion.

The 10 most intense peaks (2θ from 15° to 90°), most intense first:
2theta	I/Imax	(hkl)
22.4	100	1 0 2
31.0	37	2 3 1
32.7	26	0 6 0
38.1	23	2 1 3
41.8	22	3 0 2
24.9	21	1 2 2
41.3	16	2 6 0
40.0	15	1 6 2
50.0	12	1 1 5
39.6	11	0 5 3

Atomic structure:
```
data_Ba2P2O7
_chemical_formula_sum 'Ba12 P12 O42'
_cell_length_a 7.275
_cell_length_b 16.439
_cell_length_c 9.474
_cell_angle_alpha 90.00
_cell_angle_beta 90.00
_cell_angle_gamma 90.00
_space_group_name_H-M_alt 'A m m 2'
_space_group_IT_number 38
_space_group_name_Hall 'A 2 -2'
loop_
_atom_site_label
_atom_site_fract_x
_atom_site_fract_y
_atom_site_fract_z
_atom_site_occupancy
Ba1 0.000 0.000 0.000 1
Ba2 0.000 0.146 0.573 1
Ba3 0.500 0.000 0.328 1
Ba4 0.500 0.194 0.903 1
P1 0.222 0.169 0.207 1
P2 0.283 0.000 0.706 1
O1 0.000 0.178 0.181 1
O2 0.201 0.000 0.556 1
O3 0.237 0.077 0.789 1
O4 0.258 0.163 0.366 1
O5 0.278 0.092 0.127 1
O6 0.297 0.247 0.143 1
O7 0.500 0.000 0.670 1
```